For Na2FeNiF7, a structure optimized by DFT (GGA+U) gives the simulated powder diffractogram in this record (Cu Kα (λ = 1.5418 Å)).
Intensities are scaled so that the largest is 100.

Top 8 peaks for 2θ = 10–90°, low angle first:
| h k l | two_theta | d [Å] | I (rel.) |
| --- | --- | --- | --- |
| 0 1 1 | 14.48 | 6.116 | 60.2 |
| 1 0 1 | 16.90 | 5.246 | 35.9 |
| 1 2 1 | 24.07 | 3.697 | 31.2 |
| 0 2 2 | 29.21 | 3.058 | 100.0 |
| 2 2 0 | 29.91 | 2.987 | 86.5 |
| 2 4 2 | 49.30 | 1.848 | 81.5 |
| 2 2 4 | 57.76 | 1.596 | 36.3 |
| 4 2 2 | 58.96 | 1.566 | 31.6 |

Structure:
a b c (Å): 7.2927 10.4208 7.5529
angles (deg): 90.00 90.00 90.00
Space group Imm2 (No. 44)
One atom of each set of equivalent atoms:
Na1 0.0000 0.2461 0.0000 (multiplicity 4)
Na2 0.2492 0.5000 0.7594 (multiplicity 4)
Fe1 0.0000 0.2502 0.5014 (multiplicity 4)
Ni1 0.2504 0.0000 0.7512 (multiplicity 4)
F1 0.0000 0.0000 0.8530 (multiplicity 2)
F2 0.0000 0.1586 0.2717 (multiplicity 4)
F3 0.0000 0.3407 0.7319 (multiplicity 4)
F4 0.0000 0.5000 0.1484 (multiplicity 2)
F5 0.1997 0.1340 0.5643 (multiplicity 8)
F6 0.1996 0.3657 0.4375 (multiplicity 8)